Record 1
Calculated X-ray diffraction stick pattern of Hg2PI for Cu Kα (weighted mean of Kα1 and Kα2), from a crystal structure in Alexandria, relaxed with GGA-PBE.
Intensities are scaled so that the largest is 100.

Most intense lines, 10 to 80 degrees two-theta, most intense first:
26.57°, intensity 100.0, hkl 1 0 2
33.40°, intensity 62.9, hkl 0 0 3
32.05°, intensity 60.7, hkl 1 -2 0
25.28°, intensity 49.7, hkl 1 0 -1
25.75°, intensity 48.3, hkl 0 2 0
19.29°, intensity 46.9, hkl 0 1 -1

Atomic structure:
```
data_Hg2PI
_chemical_formula_sum 'Hg4 P2 I2'
_symmetry_space_group_name_H-M 'P -1'
_symmetry_Int_Tables_number 2
_cell_length_a 4.477
_cell_length_b 7.262
_cell_length_c 8.660
_cell_angle_alpha 72.57
_cell_angle_beta 77.57
_cell_angle_gamma 89.43
loop_
_symmetry_equiv_pos_as_xyz
'x,y,z'
'-x,-y,-z'
loop_
_atom_site_label
_atom_site_type_symbol
_atom_site_fract_x
_atom_site_fract_y
_atom_site_fract_z
Hg1 Hg 0.134 0.343 0.468
Hg2 Hg 0.215 0.816 0.837
P1 P 0.364 0.045 0.404
I1 I 0.279 0.293 0.898
```



Record 2
Calculated X-ray diffraction stick pattern of Hg4PI3 for Cu Kα (weighted mean of Kα1 and Kα2), from a crystal structure in Alexandria, relaxed with GGA-PBE.
Intensities are scaled so that the largest is 100.

Most intense lines, 10 to 80 degrees two-theta, most intense first:
18.73°, intensity 100.0, hkl 2 1 0
32.42°, intensity 97.3, hkl 4 1 0
33.83°, intensity 91.0, hkl 3 1 2
24.73°, intensity 66.9, hkl 0 1 2
17.32°, intensity 58.7, hkl 1 1 1
25.31°, intensity 58.1, hkl 3 1 0

Atomic structure:
```
data_Hg4PI3
_chemical_formula_sum 'Hg8 P2 I6'
_symmetry_space_group_name_H-M 'P m n 21'
_symmetry_Int_Tables_number 31
_cell_length_a 11.747
_cell_length_b 8.021
_cell_length_c 8.065
_cell_angle_alpha 90.00
_cell_angle_beta 90.00
_cell_angle_gamma 90.00
loop_
_symmetry_equiv_pos_as_xyz
'x,y,z'
'-x+1/2,-y,z+1/2'
'-x,y,z'
'x+1/2,-y,z+1/2'
loop_
_atom_site_label
_atom_site_type_symbol
_atom_site_fract_x
_atom_site_fract_y
_atom_site_fract_z
Hg1 Hg 0.000 0.077 0.000
Hg2 Hg 0.000 0.757 0.684
Hg3 Hg 0.152 0.404 0.769
P1 P 0.000 0.201 0.725
I1 I 0.000 0.897 0.277
I2 I 0.181 0.376 0.320
```



Record 3
Calculated X-ray diffraction stick pattern of Hg2PI for Cu Kα (weighted mean of Kα1 and Kα2), from a crystal structure in Alexandria, relaxed with GGA-PBE.
Intensities are scaled so that the largest is 100.

Most intense lines, 10 to 80 degrees two-theta, most intense first:
29.20°, intensity 100.0, hkl 2 0 1
16.95°, intensity 83.2, hkl 1 0 1
34.29°, intensity 71.4, hkl 0 2 2
25.73°, intensity 41.8, hkl 1 1 1
30.73°, intensity 40.7, hkl 0 0 3
50.31°, intensity 33.0, hkl 2 0 4

Atomic structure:
```
data_Hg2PI
_chemical_formula_sum 'Hg6 P3 I3'
_symmetry_space_group_name_H-M 'P 31 2 1'
_symmetry_Int_Tables_number 152
_cell_length_a 7.5424
_cell_length_b 7.5424
_cell_length_c 8.7290
_cell_angle_alpha 90.00
_cell_angle_beta 90.00
_cell_angle_gamma 120.00
loop_
_symmetry_equiv_pos_as_xyz
'x,y,z'
'-y,x-y,z+1/3'
'-x+y,-x,z+2/3'
'y,x,-z'
'x-y,-y,-z+2/3'
'-x,-x+y,-z+1/3'
loop_
_atom_site_label
_atom_site_type_symbol
_atom_site_fract_x
_atom_site_fract_y
_atom_site_fract_z
Hg1 Hg 0.1732 0.4327 0.3383
P1 P 0.0000 0.5576 0.1667
I1 I 0.0000 0.7338 0.6667
```



Record 4
Calculated X-ray diffraction stick pattern of Hg4PI2 for Cu Kα (weighted mean of Kα1 and Kα2), from a crystal structure in Alexandria, relaxed with GGA-PBE.
Intensities are scaled so that the largest is 100.

Most intense lines, 10 to 80 degrees two-theta, most intense first:
26.23°, intensity 100.0, hkl 1 1 2
32.65°, intensity 86.7, hkl 1 1 4
33.83°, intensity 75.1, hkl 2 0 0
48.28°, intensity 51.0, hkl 2 0 6
33.40°, intensity 35.5, hkl 0 0 6
59.77°, intensity 32.5, hkl 3 1 4

Atomic structure:
```
data_Hg4PI2
_chemical_formula_sum 'Hg8 P2 I4'
_symmetry_space_group_name_H-M 'I 4/m m m'
_symmetry_Int_Tables_number 139
_symmetry_space_group_name_Hall '-I 4 2'
_cell_length_a 5.300
_cell_length_b 5.300
_cell_length_c 16.095
_cell_angle_alpha 90.00
_cell_angle_beta 90.00
_cell_angle_gamma 90.00
loop_
_atom_site_label
_atom_site_type_symbol
_atom_site_fract_x
_atom_site_fract_y
_atom_site_fract_z
Hg1 Hg 0.000 0.000 0.165
Hg2 Hg 0.000 0.500 0.000
P1 P 0.000 0.000 0.000
I1 I 0.000 0.000 0.350
```



Record 5
Calculated X-ray diffraction stick pattern of Hg4SbPI2 for Cu Kα (weighted mean of Kα1 and Kα2), from a crystal structure in Alexandria, relaxed with GGA-PBE.
Intensities are scaled so that the largest is 100.

Most intense lines, 10 to 80 degrees two-theta, most intense first:
30.11°, intensity 100.0, hkl -2 1 1
29.64°, intensity 78.1, hkl 1 1 3
23.43°, intensity 73.9, hkl 1 0 2
27.66°, intensity 73.2, hkl 2 2 0
22.80°, intensity 65.7, hkl 1 2 0
31.87°, intensity 52.5, hkl 0 3 1

Atomic structure:
```
data_Hg4SbPI2
_chemical_formula_sum 'Hg8 Sb2 P2 I4'
_symmetry_space_group_name_H-M 'P 1'
_symmetry_Int_Tables_number 1
_cell_length_a 8.646
_cell_length_b 9.206
_cell_length_c 9.225
_cell_angle_alpha 60.25
_cell_angle_beta 70.66
_cell_angle_gamma 67.03
loop_
_symmetry_equiv_pos_as_xyz
'x,y,z'
loop_
_atom_site_label
_atom_site_type_symbol
_atom_site_fract_x
_atom_site_fract_y
_atom_site_fract_z
Hg1 Hg 0.000 0.000 0.000
Hg2 Hg 0.003 0.468 0.531
Hg3 Hg 0.271 0.335 0.150
Hg4 Hg 0.414 0.597 0.276
Hg5 Hg 0.625 0.312 0.736
Hg6 Hg 0.673 0.857 0.342
Hg7 Hg 0.773 0.801 0.714
Hg8 Hg 0.792 0.188 0.314
Sb1 Sb 0.331 0.286 0.444
Sb2 Sb 0.887 0.085 0.616
P1 P 0.707 0.613 0.628
P2 P 0.712 0.141 0.102
I1 I 0.238 0.399 0.832
I2 I 0.264 0.904 0.342
I3 I 0.314 0.825 0.892
I4 I 0.780 0.610 0.121
```



Record 6
Calculated X-ray diffraction stick pattern of Hg4PSeI2 for Cu Kα (weighted mean of Kα1 and Kα2), from a crystal structure in Alexandria, relaxed with GGA-PBE.
Intensities are scaled so that the largest is 100.

Most intense lines, 10 to 80 degrees two-theta, most intense first:
30.30°, intensity 100.0, hkl 2 2 0
41.28°, intensity 56.2, hkl 2 2 4
27.36°, intensity 46.5, hkl 0 0 4
31.69°, intensity 29.6, hkl 2 1 3
43.71°, intensity 17.8, hkl 4 0 0
52.34°, intensity 17.1, hkl 4 0 4

Atomic structure:
```
data_Hg4PSeI2
_chemical_formula_sum 'Hg16 P4 Se4 I8'
_symmetry_space_group_name_H-M 'I m m a'
_symmetry_Int_Tables_number 74
_symmetry_space_group_name_Hall '-I 2b 2'
_cell_length_a 8.283
_cell_length_b 8.403
_cell_length_c 13.037
_cell_angle_alpha 90.00
_cell_angle_beta 90.00
_cell_angle_gamma 90.00
loop_
_atom_site_label
_atom_site_type_symbol
_atom_site_fract_x
_atom_site_fract_y
_atom_site_fract_z
Hg1 Hg 0.000 0.035 0.237
Hg2 Hg 0.224 0.250 0.042
P1 P 0.250 0.250 0.250
Se1 Se 0.000 0.000 0.000
I1 I 0.000 0.000 0.500
I2 I 0.250 0.250 0.750
```



Record 7
Calculated X-ray diffraction stick pattern of PaHg3I4 for Cu Kα (weighted mean of Kα1 and Kα2), from a crystal structure in Alexandria, relaxed with GGA-PBE.
Intensities are scaled so that the largest is 100.

Most intense lines, 10 to 80 degrees two-theta, most intense first:
18.18°, intensity 100.0, hkl 1 1 2
31.06°, intensity 40.8, hkl 2 0 4
33.13°, intensity 34.2, hkl 3 1 2
27.46°, intensity 23.8, hkl 2 2 0
48.45°, intensity 18.3, hkl 3 1 6
39.11°, intensity 12.5, hkl 1 1 6

Atomic structure:
```
data_PaHg3I4
_chemical_formula_sum 'Pa2 Hg6 I8'
_symmetry_space_group_name_H-M 'I -4 2 m'
_symmetry_Int_Tables_number 121
_symmetry_space_group_name_Hall 'I -4 2'
_cell_length_a 9.188
_cell_length_b 9.188
_cell_length_c 14.779
_cell_angle_alpha 90.00
_cell_angle_beta 90.00
_cell_angle_gamma 90.00
loop_
_atom_site_label
_atom_site_type_symbol
_atom_site_fract_x
_atom_site_fract_y
_atom_site_fract_z
Pa1 Pa 0.000 0.000 0.000
Hg1 Hg 0.000 0.000 0.500
Hg2 Hg 0.000 0.500 0.250
I1 I 0.184 0.184 0.890
```



Record 8
Calculated X-ray diffraction stick pattern of PaHg3I6 for Cu Kα (weighted mean of Kα1 and Kα2), from a crystal structure in Alexandria, relaxed with GGA-PBE.
Intensities are scaled so that the largest is 100.

Most intense lines, 10 to 80 degrees two-theta, most intense first:
30.13°, intensity 100.0, hkl 1 1 2
22.93°, intensity 78.5, hkl 2 -1 1
11.51°, intensity 58.5, hkl 1 0 0
35.01°, intensity 43.8, hkl 3 0 0
46.85°, intensity 27.0, hkl 4 -2 2
20.00°, intensity 26.2, hkl 1 1 0

Atomic structure:
```
data_PaHg3I6
_chemical_formula_sum 'Pa1 Hg3 I6'
_symmetry_space_group_name_H-M 'P -3 1 m'
_symmetry_Int_Tables_number 162
_symmetry_space_group_name_Hall '-P 3 2'
_cell_length_a 8.8789
_cell_length_b 8.8789
_cell_length_c 7.9710
_cell_angle_alpha 90.00
_cell_angle_beta 90.00
_cell_angle_gamma 120.00
loop_
_atom_site_label
_atom_site_type_symbol
_atom_site_fract_x
_atom_site_fract_y
_atom_site_fract_z
Pa1 Pa 0.0000 0.0000 0.0000
Hg1 Hg 0.0000 0.0000 0.5000
Hg2 Hg 0.3333 0.6667 0.5000
I1 I 0.0000 0.2739 0.7871
```



Record 9
Calculated X-ray diffraction stick pattern of PaHg3I8 for Cu Kα (weighted mean of Kα1 and Kα2), from a crystal structure in Alexandria, relaxed with GGA-PBE.
Intensities are scaled so that the largest is 100.

Most intense lines, 10 to 80 degrees two-theta, most intense first:
27.07°, intensity 100.0, hkl 2 0 2
11.88°, intensity 80.3, hkl 1 1 0
37.08°, intensity 53.2, hkl 2 4 2
14.80°, intensity 41.8, hkl 1 1 1
24.86°, intensity 41.7, hkl 0 4 0
21.32°, intensity 37.3, hkl 1 1 2

Atomic structure:
```
data_PaHg3I8
_chemical_formula_sum 'Pa2 Hg6 I16'
_symmetry_space_group_name_H-M 'C 2 2 2'
_symmetry_Int_Tables_number 21
_cell_length_a 8.716
_cell_length_b 14.329
_cell_length_c 10.057
_cell_angle_alpha 90.00
_cell_angle_beta 90.00
_cell_angle_gamma 90.00
loop_
_symmetry_equiv_pos_as_xyz
'x,y,z'
'-x,-y,z'
'x,-y,-z'
'-x,y,-z'
'x+1/2,y+1/2,z'
'-x+1/2,-y+1/2,z'
'x+1/2,-y+1/2,-z'
'-x+1/2,y+1/2,-z'
loop_
_atom_site_label
_atom_site_type_symbol
_atom_site_fract_x
_atom_site_fract_y
_atom_site_fract_z
Pa1 Pa 0.000 0.000 0.000
Hg1 Hg 0.000 0.000 0.500
Hg2 Hg 0.250 0.250 0.251
I1 I 0.000 0.186 0.500
I2 I 0.000 0.208 0.000
I3 I 0.242 0.001 0.206
```



Record 10
Calculated X-ray diffraction stick pattern of PaHg2I8 for Cu Kα (weighted mean of Kα1 and Kα2), from a crystal structure in Alexandria, relaxed with GGA-PBE.
Intensities are scaled so that the largest is 100.

Most intense lines, 10 to 80 degrees two-theta, most intense first:
12.37°, intensity 100.0, hkl 2 0 -1
13.20°, intensity 52.7, hkl 1 1 -1
22.49°, intensity 36.8, hkl 3 1 -2
34.13°, intensity 34.8, hkl 5 1 -3
32.39°, intensity 20.8, hkl 4 0 1
33.89°, intensity 17.0, hkl 2 2 2

Atomic structure:
```
data_PaHg2I8
_chemical_formula_sum 'Pa2 Hg4 I16'
_symmetry_space_group_name_H-M 'C 1 2/m 1'
_symmetry_Int_Tables_number 12
_cell_length_a 14.600
_cell_length_b 8.578
_cell_length_c 11.488
_cell_angle_alpha 90.00
_cell_angle_beta 116.81
_cell_angle_gamma 90.00
loop_
_symmetry_equiv_pos_as_xyz
'x,y,z'
'-x,-y,-z'
'-x,y,-z'
'x,-y,z'
'x+1/2,y+1/2,z'
'-x+1/2,-y+1/2,-z'
'-x+1/2,y+1/2,-z'
'x+1/2,-y+1/2,z'
loop_
_atom_site_label
_atom_site_type_symbol
_atom_site_fract_x
_atom_site_fract_y
_atom_site_fract_z
Pa1 Pa 0.000 0.000 0.000
Hg1 Hg 0.194 0.000 0.322
I1 I 0.027 0.000 0.751
I2 I 0.142 0.500 0.447
I3 I 0.164 0.248 0.117
```



Record 11
Calculated X-ray diffraction stick pattern of PaHg4I6 for Cu Kα (weighted mean of Kα1 and Kα2), from a crystal structure in Alexandria, relaxed with GGA-PBE.
Intensities are scaled so that the largest is 100.

Most intense lines, 10 to 80 degrees two-theta, most intense first:
26.71°, intensity 100.0, hkl 2 1 2
27.74°, intensity 51.1, hkl 0 0 4
32.43°, intensity 41.2, hkl 3 1 0
12.25°, intensity 39.5, hkl 1 0 1
43.18°, intensity 36.2, hkl 3 1 4
48.43°, intensity 20.4, hkl 2 1 6

Atomic structure:
```
data_PaHg4I6
_chemical_formula_sum 'Pa2 Hg8 I12'
_symmetry_space_group_name_H-M 'P 4/m n c'
_symmetry_Int_Tables_number 128
_symmetry_space_group_name_Hall '-P 4 2n'
_cell_length_a 8.731
_cell_length_b 8.731
_cell_length_c 12.866
_cell_angle_alpha 90.00
_cell_angle_beta 90.00
_cell_angle_gamma 90.00
loop_
_atom_site_label
_atom_site_type_symbol
_atom_site_fract_x
_atom_site_fract_y
_atom_site_fract_z
Pa1 Pa 0.000 0.000 0.000
Hg1 Hg 0.120 0.380 0.250
I1 I 0.000 0.000 0.234
I2 I 0.181 0.716 0.000
```



Record 12
Calculated X-ray diffraction stick pattern of Hg3Pb3I for Cu Kα (weighted mean of Kα1 and Kα2), from a crystal structure in Alexandria, relaxed with GGA-PBE.
Intensities are scaled so that the largest is 100.

Most intense lines, 10 to 80 degrees two-theta, most intense first:
26.11°, intensity 100.0, hkl 2 1 1
40.38°, intensity 64.2, hkl 3 2 1
37.27°, intensity 56.6, hkl 2 2 2
14.99°, intensity 47.6, hkl 1 1 0
43.30°, intensity 42.3, hkl 4 0 0
21.26°, intensity 40.9, hkl 2 0 0

Atomic structure:
```
data_Hg3Pb3I
_chemical_formula_sum 'Hg6 Pb6 I2'
_symmetry_space_group_name_H-M 'P m -3 n'
_symmetry_Int_Tables_number 223
_symmetry_space_group_name_Hall '-P 4n 2 3'
_cell_length_a 8.358
_cell_length_b 8.358
_cell_length_c 8.358
_cell_angle_alpha 90.00
_cell_angle_beta 90.00
_cell_angle_gamma 90.00
loop_
_atom_site_label
_atom_site_type_symbol
_atom_site_fract_x
_atom_site_fract_y
_atom_site_fract_z
Hg1 Hg 0.000 0.250 0.500
Pb1 Pb 0.000 0.500 0.250
I1 I 0.000 0.000 0.000
```



Record 13
Calculated X-ray diffraction stick pattern of RbHgPbI3 for Cu Kα (weighted mean of Kα1 and Kα2), from a crystal structure in Alexandria, relaxed with GGA-PBE.
Intensities are scaled so that the largest is 100.

Most intense lines, 10 to 80 degrees two-theta, most intense first:
27.82°, intensity 100.0, hkl 2 2 0
30.19°, intensity 58.4, hkl 2 0 -4
26.28°, intensity 54.5, hkl 1 1 3
28.64°, intensity 43.8, hkl 0 2 3
20.38°, intensity 37.8, hkl 0 0 3
14.51°, intensity 34.0, hkl 1 1 -1

Atomic structure:
```
data_RbHgPbI3
_chemical_formula_sum 'Rb4 Hg4 Pb4 I12'
_symmetry_space_group_name_H-M 'C 1 2/m 1'
_symmetry_Int_Tables_number 12
_cell_length_a 9.416
_cell_length_b 8.921
_cell_length_c 13.345
_cell_angle_alpha 90.00
_cell_angle_beta 101.57
_cell_angle_gamma 90.00
loop_
_symmetry_equiv_pos_as_xyz
'x,y,z'
'-x,-y,-z'
'-x,y,-z'
'x,-y,z'
'x+1/2,y+1/2,z'
'-x+1/2,-y+1/2,-z'
'-x+1/2,y+1/2,-z'
'x+1/2,-y+1/2,z'
loop_
_atom_site_label
_atom_site_type_symbol
_atom_site_fract_x
_atom_site_fract_y
_atom_site_fract_z
Rb1 Rb 0.183 0.000 0.295
Hg1 Hg 0.000 0.306 0.500
Pb1 Pb 0.191 0.500 0.120
I1 I 0.084 0.271 0.862
I2 I 0.230 0.000 0.648
```